No. 1
# SrBe5Au7
Calculated powder XRD pattern, a wavelength of 1.5418 Å. Input: a structure optimized by DFT (PBE).

Top 10 peaks for 2θ = 5–70°, low angle first:
two_theta  I_rel
14.05  27
19.87  24
28.33  75
34.86  63
35.01  72
35.13  76
40.55  100
45.46  25
45.65  30
45.72  40

```
13
Lattice="-2.5549 4.4433 4.4691 2.5549 -4.4433 4.4691 2.5549 4.4433 -4.4691" Properties=species:S:1:pos:R:3 pbc="T T T"
Sr 0.0000 0.0000 0.0000
Be 1.3194 2.2698 2.0810
Be 3.7903 2.2698 2.0810
Be 0.0000 4.4433 2.3012
Be -1.2354 2.1735 6.5501
Be 1.2354 2.1735 6.5501
Au 2.5549 1.7685 -0.3820
Au 2.5549 0.0000 1.9732
Au 0.0000 0.0000 3.0519
Au 0.0000 3.0349 0.1791
Au 0.0000 0.0000 5.9649
Au 0.0000 5.8517 0.1791
Au 0.0000 2.6748 4.0871
```

No. 2
# CaPPt6
Calculated powder XRD pattern, a wavelength of 1.5418 Å. Input: a structure optimized by DFT (PBE).

Top 10 peaks for 2θ = 5–70°, low angle first:
two_theta  I_rel
18.98  45
21.05  15
27.89  18
31.61  57
37.35  100
38.51  43
45.50  22
45.89  43
53.34  40
66.61  26

```
8
Lattice="2.8081 1.6212 5.6617 -2.8081 1.6212 5.6617 0.0000 -3.2425 5.6617" Properties=species:S:1:pos:R:3 pbc="T T T"
Ca 0.0000 0.0000 0.0000
P 0.0000 0.0000 8.4925
Pt -1.4669 -0.8469 7.0037
Pt 0.0000 -1.6938 9.9813
Pt -1.4669 0.8469 9.9813
Pt 1.4669 -0.8469 7.0037
Pt 0.0000 1.6938 7.0037
Pt 1.4669 0.8469 9.9813
```

No. 3
# Pm2Ho8Sc3
Calculated powder XRD pattern, a wavelength of 1.5418 Å. Input: a structure optimized by DFT (PBE).

Top 10 peaks for 2θ = 5–70°, low angle first:
two_theta  I_rel
8.18  12
31.38  34
31.46  100
36.43  46
36.55  22
52.51  23
52.61  15
62.49  32
62.65  13
65.68  12

```
13
Lattice="6.0349 0.0000 0.0000 -0.9997 5.9645 0.0000 -1.9930 -0.3432 10.8035" Properties=species:S:1:pos:R:3 pbc="T T T"
Pm -0.4881 1.4482 4.9776
Pm 3.5304 4.1732 5.8259
Ho -0.4614 2.4382 1.5877
Ho -0.5136 0.4570 8.4260
Ho 0.5311 4.6858 4.0826
Ho 0.5009 3.6953 7.5737
Ho 2.5413 1.9260 3.2298
Ho 2.5111 0.9356 6.7209
Ho 3.5559 5.1643 2.3775
Ho 3.5037 3.1831 9.2158
Sc 0.5443 5.7052 0.7884
Sc 2.5176 2.9823 0.0000
Sc 2.4979 -0.0838 10.0151
```

No. 4
# ErSn4
Calculated powder XRD pattern, a wavelength of 1.5418 Å. Input: a structure optimized by DFT (PBE).

Top 10 peaks for 2θ = 5–70°, low angle first:
two_theta  I_rel
31.39  98
34.45  100
38.86  30
41.20  34
52.86  14
57.75  14
57.93  26
65.74  12
67.20  43
67.56  11

```
10
Lattice="-2.3172 3.1938 9.0332 2.3172 -3.1938 9.0332 2.3172 3.1938 -9.0332" Properties=species:S:1:pos:R:3 pbc="T T T"
Er 0.0000 1.5969 1.6093
Er 2.3172 1.5969 7.4239
Sn 2.3172 0.0000 0.0000
Sn 2.3172 -1.5969 7.2799
Sn 2.3172 -0.0213 3.4578
Sn 2.3172 3.1724 -3.4578
Sn 0.0000 0.0000 9.0332
Sn 0.0000 0.0213 12.4910
Sn 0.0000 3.2151 5.5754
Sn 0.0000 4.7906 1.7533
```